Diffraction record for SrCa2Cd2. The XRD peak list is calculated, not measured: it uses the PBE geometry in Alexandria and Cu Kα, 1.54184 Å.

Most intense lines, 2θ = 15–90°, most intense first:
(hkl), two_theta, d_spacing, intensity
1 1 2, 31.6, 2.830, 100.0
0 2 0, 31.0, 2.881, 29.0
0 0 5, 30.3, 2.952, 19.9
1 3 2, 55.6, 1.654, 18.7
0 2 5, 43.9, 2.062, 14.7
1 1 -4, 35.0, 2.562, 10.7
1 1 -9, 60.6, 1.529, 10.0
2 2 -1, 57.1, 1.613, 9.5
2 0 -1, 46.7, 1.946, 9.0
0 1 2, 19.5, 4.542, 8.8

Structure:
a = 3.892 Å, b = 5.762 Å, c = 14.889 Å
α = 90.00°, β = 97.59°, γ = 90.00°
Positions (direct):
Sr 0.142 0.250 0.283
Sr 0.858 0.750 0.717
Ca 0.047 0.750 0.093
Ca 0.229 0.750 0.457
Ca 0.771 0.250 0.543
Ca 0.953 0.250 0.907
Cd 0.361 0.250 0.722
Cd 0.456 0.750 0.911
Cd 0.544 0.250 0.089
Cd 0.639 0.750 0.278